Theoretical powder diffractogram
Compound: DyErO3
Radiation: Cu Kα
Structure: a crystal structure in the Materials Project, relaxed with PBE

Structure:
```
30
Lattice="6.4119 0.0000 0.0000 -3.2059 5.5528 0.0000 0.0000 0.0000 12.7006" Properties=species:S:1:pos:R:3 pbc="T T T"
Dy 0.0000 0.0000 0.0000
Dy 0.0000 0.0000 6.3503
Dy 0.0000 3.7019 5.9610
Dy 0.0000 3.7019 12.3113
Dy 3.2059 1.8509 5.9610
Dy 3.2059 1.8509 12.3113
Er -1.0666 1.8474 2.9448
Er -2.1394 3.7055 9.2951
Er 2.1331 0.0000 2.9448
Er 1.0666 1.8474 9.2951
Er 4.2787 0.0000 9.2951
Er 2.1394 3.7055 2.9448
O 0.0000 0.0000 2.4912
O 0.0000 0.0000 8.8414
O -0.9798 1.6971 5.1451
O -1.1702 2.0268 0.7618
O -2.0357 3.5260 7.1120
O -2.2261 3.8557 11.4954
O 1.9597 0.0000 5.1451
O 0.9798 1.6971 11.4954
O 0.0000 3.7019 3.2460
O 0.0000 3.7019 9.5963
O 2.3404 0.0000 0.7618
O 1.1702 2.0268 7.1120
O 4.0715 0.0000 7.1120
O 2.0357 3.5260 0.7618
O 3.2059 1.8509 3.2460
O 3.2059 1.8509 9.5963
O 4.4522 0.0000 11.4954
O 2.2261 3.8557 5.1451
```

Most intense lines, 2θ = 15–90°, by angle:
28.10 deg, I = 47, (0 0 4); 28.72 deg, I = 67, (1 1 1); 31.25 deg, I = 100, (1 1 2); 49.23 deg, I = 41, (3 0 0); 51.75 deg, I = 27, (1 1 6); 57.65 deg, I = 39, (3 0 4)

Theoretical powder diffractogram
Compound: K2C6Se2S6N6O
Radiation: Cu Kα
Structure: a crystal structure in the Materials Project, relaxed with PBE

Structure:
```
46
Lattice="8.8631 0.0000 0.0000 1.7747 8.9687 0.0000 4.2843 0.7138 12.6432" Properties=species:S:1:pos:R:3 pbc="T T T"
K 1.7518 0.8172 0.2068
K 7.5852 5.7251 12.4463
K 7.3369 3.9575 0.1969
K 13.1703 8.8654 12.4364
C 2.5367 7.0923 3.0172
C 4.7469 6.0991 9.9804
C 7.1835 8.5332 9.5959
C 3.7174 0.7910 3.4078
C 4.9267 4.1737 3.0842
C 7.1131 3.0172 9.7961
C 7.8090 6.6654 2.8471
C 9.9954 5.5088 9.5590
C 11.2048 8.8916 9.2355
C 7.7386 1.1493 3.0473
C 10.1752 3.5834 2.6628
C 12.3854 2.5903 9.6260
Se 5.0269 7.0568 4.8518
Se 7.1276 5.8808 8.0338
Se 7.7945 3.8017 4.6095
Se 9.8952 2.6257 7.7914
S 3.3476 2.5779 7.9577
S 4.7778 6.1018 8.3112
S 3.6023 0.3984 5.0267
S 4.9610 4.1082 4.7368
S 7.4857 8.2598 7.9867
S 6.8664 3.0172 8.1669
S 8.0557 6.6653 4.4763
S 7.4364 1.4228 4.6565
S 9.9611 5.5743 7.9065
S 11.3198 9.2842 7.6165
S 10.1443 3.5807 4.3321
S 11.5745 7.1046 4.6855
N 1.3505 3.5570 1.4876
N 2.3841 7.0865 1.8526
N 6.9281 8.7077 10.7305
N 3.7715 1.0559 2.2655
N 7.3000 3.0736 10.9621
N 4.9344 4.2530 1.9100
N 9.9877 5.4295 10.7332
N 7.6221 6.6089 1.6811
N 11.1507 8.6267 10.3777
N 7.9940 0.9748 1.9127
N 12.5381 2.5961 10.7907
N 13.5716 6.1255 11.1556
O 5.0791 7.3492 0.1256
O 9.8430 2.3333 12.5177
```

Most intense lines, 2θ = 15–90°, by angle:
21.08 deg, I = 89, (0 0 3); 21.47 deg, I = 34, (2 0 0); 25.14 deg, I = 39, (2 0 3); 28.23 deg, I = 37, (0 0 4); 30.38 deg, I = 83, (0 3 1); 31.16 deg, I = 100, (3 0 2)

Theoretical powder diffractogram
Compound: Mg15Cd
Radiation: Cu Kα
Structure: a crystal structure in the Materials Project, relaxed with PBE

Structure:
```
16
Lattice="6.3767 0.0000 0.0000 -3.1883 5.5224 0.0000 0.0000 0.0000 10.3083" Properties=species:S:1:pos:R:3 pbc="T T T"
Mg 0.0000 0.0000 0.0000
Mg 4.7818 2.7608 0.0000
Mg -1.5910 2.7630 5.1542
Mg 1.5937 0.9201 2.5806
Mg 1.5937 0.9201 7.7278
Mg 0.0000 3.6816 2.5737
Mg 0.0000 3.6816 7.7347
Mg 3.1883 0.0008 0.0000
Mg 1.5949 2.7608 0.0000
Mg 1.5910 2.7630 5.1542
Mg 0.0000 5.5187 5.1542
Mg 4.7830 0.9201 2.5806
Mg 4.7830 0.9201 7.7278
Mg 3.1883 3.6822 2.5806
Mg 3.1883 3.6822 7.7278
Cd 0.0000 0.0000 5.1542
```

Most intense lines, 2θ = 15–90°, by angle:
18.22 deg, I = 24, (1 0 1); 32.42 deg, I = 26, (2 0 0); 34.81 deg, I = 26, (0 0 4); 36.93 deg, I = 100, (2 0 2); 63.81 deg, I = 19, (2 0 6); 69.31 deg, I = 19, (2 2 4)

Theoretical powder diffractogram
Compound: TbCuSb2
Radiation: Cu Kα
Structure: a crystal structure in the Materials Project, relaxed with PBE

Structure:
```
8
Lattice="4.2970 0.0000 0.0000 0.0000 4.2970 0.0000 0.0000 0.0000 9.9048" Properties=species:S:1:pos:R:3 pbc="T T T"
Tb 1.0743 1.0743 2.4506
Tb 3.2228 3.2228 7.4543
Cu 1.0743 3.2228 4.9524
Cu 3.2228 1.0743 4.9524
Sb 1.0743 1.0743 6.5598
Sb 1.0743 3.2228 0.0000
Sb 3.2228 1.0743 0.0000
Sb 3.2228 3.2228 3.3451
```

Most intense lines, 2θ = 15–90°, by angle:
34.25 deg, I = 18, (1 0 3); 34.64 deg, I = 100, (1 1 2); 42.06 deg, I = 44, (2 0 0); 50.73 deg, I = 21, (1 0 5); 61.00 deg, I = 16, (2 2 0); 72.08 deg, I = 24, (3 1 2)

Theoretical powder diffractogram
Compound: BaLi2Si
Radiation: Cu Kα
Structure: a crystal structure in the Materials Project, relaxed with PBE

Structure:
```
8
Lattice="4.6653 0.0000 0.0000 0.0000 6.6941 0.0000 0.0000 0.0000 6.3740" Properties=species:S:1:pos:R:3 pbc="T T T"
Ba 1.1663 1.6735 0.5970
Ba 3.4989 5.0206 5.7770
Li 1.1663 0.3257 3.7507
Li 1.1663 3.0213 3.7507
Li 3.4989 3.6728 2.6233
Li 3.4989 6.3683 2.6233
Si 1.1663 5.0206 1.9540
Si 3.4989 1.6735 4.4200
```

Most intense lines, 2θ = 15–90°, by angle:
23.24 deg, I = 59, (1 1 0); 23.63 deg, I = 47, (1 0 1); 26.63 deg, I = 45, (0 2 0); 27.18 deg, I = 100, (1 1 1); 31.08 deg, I = 53, (0 1 2); 35.90 deg, I = 38, (1 2 1)